For Ti3Mn2NiP6O24, a PBE+U-relaxed structure gives the theoretical X-ray powder pattern in this record (a wavelength of 1.5418 Å).
Peak positions follow from Bragg's law for the DFT cell and can differ from measured ones.

Structural model:
abc: 8.6300 8.6300 21.1658
angles: 90.00 90.00 120.00
Space group R3 (No. 146, hexagonal axes)
Symmetry-distinct sites (fractional):
1 Ti 0.0000 0.0000 0.0000 [3 per cell]
2 Ti 0.0000 0.0000 0.2102 [3 per cell]
3 Ti 0.0000 0.0000 0.7069 [3 per cell]
4 Mn 0.0000 0.0000 0.3581 [3 per cell]
5 Mn 0.0000 0.0000 0.8547 [3 per cell]
6 Ni 0.0000 0.0000 0.4977 [3 per cell]
7 P 0.9998 0.2928 0.6023 [9 per cell]
8 P 0.0403 0.6675 0.7709 [9 per cell]
9 O 0.0052 0.2031 0.5429 [9 per cell]
10 O 0.0193 0.1835 0.2759 [9 per cell]
11 O 0.0256 0.8395 0.7755 [9 per cell]
12 O 0.1456 0.4769 0.3298 [9 per cell]
13 O 0.1462 0.6687 0.8304 [9 per cell]
14 O 0.1508 0.6752 0.7122 [9 per cell]
15 O 0.1655 0.6894 0.0971 [9 per cell]
16 O 0.1670 0.4854 0.6026 [9 per cell]

Principal peaks in the range 2θ from 10° to 90°, in order of rising 2θ:
Position (°2θ)  Rel. int.
20.6  78.2
24.2  100.0
25.3  14.5
32.0  15.6
32.8  72.5
36.1  33.3
47.1  26.1
49.5  26.8
56.4  33.9
62.8  23.1

---

For LiCrSiO4, a PBE+U-relaxed structure gives the theoretical X-ray powder pattern in this record (a wavelength of 1.5418 Å).
Peak positions follow from Bragg's law for the DFT cell and can differ from measured ones.

Structural model:
abc: 5.5657 10.7836 10.1121
angles: 90.00 91.20 90.00
Space group P2_1/c (No. 14)
Symmetry-distinct sites (fractional):
1 Li 0.0946 0.1588 0.3292 [4 per cell]
2 Li 0.3652 0.6172 0.0935 [4 per cell]
3 Cr 0.1508 0.6226 0.5158 [4 per cell]
4 Cr 0.3399 0.0913 0.7679 [4 per cell]
5 Si 0.1116 0.6027 0.8406 [4 per cell]
6 Si 0.4040 0.1433 0.0826 [4 per cell]
7 O 0.0186 0.6644 0.6934 [4 per cell]
8 O 0.1111 0.0028 0.6422 [4 per cell]
9 O 0.1163 0.7010 0.9632 [4 per cell]
10 O 0.1602 0.0586 0.0666 [4 per cell]
11 O 0.3468 0.2483 0.1864 [4 per cell]
12 O 0.3512 0.5708 0.3631 [4 per cell]
13 O 0.3687 0.5279 0.8302 [4 per cell]
14 O 0.4995 0.6798 0.5689 [4 per cell]

Principal peaks in the range 2θ from 10° to 90°, in order of rising 2θ:
Position (°2θ)  Rel. int.
12.0  100.0
18.7  63.4
25.0  15.6
25.4  26.8
26.3  24.0
27.7  19.1
31.3  14.8
31.9  35.4
33.2  54.2
35.6  27.2

---

For MgFeHO2, a PBE+U-relaxed structure gives the theoretical X-ray powder pattern in this record (a wavelength of 1.5418 Å).
Peak positions follow from Bragg's law for the DFT cell and can differ from measured ones.

Structural model:
abc: 3.0473 3.0476 6.2182
angles: 89.80 89.95 60.07
Space group P1 (No. 1)
Symmetry-distinct sites (fractional):
1 Mg 0.0000 0.0000 0.0000 [1 per cell]
2 Fe 0.3352 0.3362 0.4495 [1 per cell]
3 H 0.6664 0.6662 0.8753 [1 per cell]
4 O 0.0016 0.0017 0.5943 [1 per cell]
5 O 0.6666 0.6713 0.2439 [1 per cell]

Principal peaks in the range 2θ from 10° to 90°, in order of rising 2θ:
Position (°2θ)  Rel. int.
14.2  100.0
28.7  31.8
34.0  17.8
37.0  78.7
37.0  25.9
45.0  22.5
45.1  40.5
56.4  23.9
56.5  16.9
60.8  30.0

---

For KUVO6, a PBE+U-relaxed structure gives the theoretical X-ray powder pattern in this record (a wavelength of 1.5418 Å).
Peak positions follow from Bragg's law for the DFT cell and can differ from measured ones.

Structural model:
abc: 6.9325 8.4844 10.5955
angles: 90.00 105.04 90.00
Space group P2_1/c (No. 14)
Symmetry-distinct sites (fractional):
1 K 0.0387 0.2322 0.3627 [4 per cell]
2 U 0.4893 0.0206 0.1804 [4 per cell]
3 V 0.3892 0.6481 0.9448 [4 per cell]
4 O 0.1486 0.6349 0.9319 [4 per cell]
5 O 0.2206 0.0606 0.1250 [4 per cell]
6 O 0.2411 0.0190 0.7643 [4 per cell]
7 O 0.4236 0.7102 0.7843 [4 per cell]
8 O 0.4635 0.0597 0.3927 [4 per cell]
9 O 0.4698 0.6552 0.5071 [4 per cell]

Principal peaks in the range 2θ from 10° to 90°, in order of rising 2θ:
Position (°2θ)  Rel. int.
13.2  100.0
17.3  13.9
20.9  16.9
24.8  38.8
26.6  27.9
28.2  61.3
28.4  16.5
34.1  15.5
41.5  14.1
45.9  15.2

---

For NaMgFeO2, a PBE+U-relaxed structure gives the theoretical X-ray powder pattern in this record (a wavelength of 1.5418 Å).
Peak positions follow from Bragg's law for the DFT cell and can differ from measured ones.

Structural model:
abc: 5.5174 3.1908 8.1702
angles: 90.00 101.16 90.00
Space group Cm (No. 8)
Symmetry-distinct sites (fractional):
1 Na 0.0000 0.0000 0.0000 [2 per cell]
2 Mg 0.0758 0.5000 0.6936 [2 per cell]
3 Fe 0.4223 0.0000 0.3132 [2 per cell]
4 O 0.2236 0.5000 0.1987 [2 per cell]
5 O 0.2685 0.0000 0.7871 [2 per cell]

Principal peaks in the range 2θ from 10° to 90°, in order of rising 2θ:
Position (°2θ)  Rel. int.
11.0  73.6
22.2  86.4
32.6  42.0
33.4  41.4
33.5  35.0
35.6  33.7
36.3  28.4
41.6  100.0
42.7  38.2
57.9  39.7

---

For Li5Nb2Fe3O10, a PBE+U-relaxed structure gives the theoretical X-ray powder pattern in this record (a wavelength of 1.5418 Å).
Peak positions follow from Bragg's law for the DFT cell and can differ from measured ones.

Structural model:
abc: 5.3359 7.9827 10.5259
angles: 71.99 80.86 71.11
Space group P-1 (No. 2)
Symmetry-distinct sites (fractional):
1 Li 0.9998 0.0004 0.2500 [2 per cell]
2 Li 0.1026 0.2965 0.0034 [2 per cell]
3 Li 0.1028 0.2968 0.5031 [2 per cell]
4 Li 0.2724 0.8989 0.0073 [2 per cell]
5 Li 0.2719 0.8988 0.5075 [2 per cell]
6 Nb 0.3943 0.1880 0.2595 [2 per cell]
7 Nb 0.3939 0.1891 0.7590 [2 per cell]
8 Fe 0.1932 0.6057 0.2510 [2 per cell]
9 Fe 0.1941 0.6041 0.7513 [2 per cell]
10 Fe 0.5000 0.5000 0.0000 [1 per cell]
11 Fe 0.5000 0.5000 0.5000 [1 per cell]
12 O 0.0778 0.1472 0.3710 [2 per cell]
13 O 0.0777 0.1481 0.8709 [2 per cell]
14 O 0.1635 0.4401 0.6330 [2 per cell]
15 O 0.1647 0.4391 0.1336 [2 per cell]
16 O 0.2820 0.7450 0.3685 [2 per cell]
17 O 0.2819 0.7452 0.8685 [2 per cell]
18 O 0.3435 0.0459 0.1314 [2 per cell]
19 O 0.3428 0.0460 0.6312 [2 per cell]
20 O 0.4494 0.3401 0.3716 [2 per cell]
21 O 0.4506 0.3395 0.8720 [2 per cell]

Principal peaks in the range 2θ from 10° to 90°, in order of rising 2θ:
Position (°2θ)  Rel. int.
17.6  47.1
17.8  100.0
22.1  29.2
26.1  21.3
28.6  18.3
34.4  18.6
36.2  28.1
41.4  55.3
41.6  52.9
42.5  50.8

---

For CaCo4O8, a PBE+U-relaxed structure gives the theoretical X-ray powder pattern in this record (a wavelength of 1.5418 Å).
Peak positions follow from Bragg's law for the DFT cell and can differ from measured ones.

Structural model:
abc: 12.6677 2.9087 8.8208
angles: 90.00 130.68 90.00
Space group Cm (No. 8)
Symmetry-distinct sites (fractional):
1 Ca 0.0000 0.0000 0.0000 [2 per cell]
2 Co 0.1250 0.0000 0.4506 [2 per cell]
3 Co 0.1468 0.5000 0.7999 [2 per cell]
4 Co 0.3184 0.0000 0.1614 [2 per cell]
5 Co 0.3401 0.5000 0.5106 [2 per cell]
6 O 0.0281 0.0000 0.7322 [2 per cell]
7 O 0.1189 0.5000 0.5754 [2 per cell]
8 O 0.1381 0.5000 0.3148 [2 per cell]
9 O 0.1821 0.5000 0.0462 [2 per cell]
10 O 0.2806 0.0000 0.9149 [2 per cell]
11 O 0.3247 0.0000 0.6408 [2 per cell]
12 O 0.3478 0.0000 0.3874 [2 per cell]
13 O 0.4361 0.5000 0.2286 [2 per cell]

Principal peaks in the range 2θ from 10° to 90°, in order of rising 2θ:
Position (°2θ)  Rel. int.
20.2  45.8
30.3  63.9
31.3  58.7
37.3  30.2
37.9  100.0
38.6  44.7
42.0  31.8
53.5  42.7
62.6  35.8
71.0  33.8